Theoretical PXRD pattern
Compound: SrAs2Xe3F18
Radiation: Cu Kα
Structure: a cell relaxed with GGA-PBE
Peak positions follow from Bragg's law for the DFT cell and can differ from measured ones.

Principal peaks in the range 15° ≤ 2θ ≤ 90°, low angle first:
- 22.3 deg, intensity 100
- 23.8 deg, intensity 36
- 24.2 deg, intensity 65
- 28.2 deg, intensity 31
- 28.6 deg, intensity 19
- 46.5 deg, intensity 22

Crystal structure
Cell lengths 8.937, 8.937, 11.343 Å; angles 95.99, 95.99, 90.23 degrees
Atoms (fractional coordinates):
Sr: 0.214 0.214 0.223
Sr: 0.786 0.786 0.777
As: 0.000 0.500 0.500
As: 0.300 0.300 0.899
As: 0.500 0.000 0.500
As: 0.700 0.700 0.101
Xe: 0.000 0.000 0.500
Xe: 0.184 0.705 0.164
Xe: 0.295 0.816 0.836
Xe: 0.500 0.500 0.500
Xe: 0.705 0.184 0.164
Xe: 0.816 0.295 0.836
F: 0.041 0.041 0.329
F: 0.070 0.783 0.861
F: 0.086 0.638 0.427
F: 0.113 0.357 0.429
F: 0.142 0.531 0.621
F: 0.147 0.481 0.186
F: 0.158 0.438 0.902
F: 0.192 0.192 0.991
F: 0.201 0.201 0.771
F: 0.217 0.930 0.139
F: 0.357 0.113 0.429
F: 0.362 0.914 0.573
F: 0.390 0.390 0.035
F: 0.405 0.405 0.813
F: 0.408 0.408 0.333
F: 0.438 0.158 0.902
F: 0.469 0.858 0.379
F: 0.481 0.147 0.186
F: 0.519 0.853 0.814
F: 0.531 0.142 0.621
F: 0.562 0.842 0.098
F: 0.592 0.592 0.667
F: 0.595 0.595 0.187
F: 0.610 0.610 0.965
F: 0.638 0.086 0.427
F: 0.643 0.887 0.571
F: 0.783 0.070 0.861
F: 0.799 0.799 0.229
F: 0.808 0.808 0.009
F: 0.842 0.562 0.098
F: 0.853 0.519 0.814
F: 0.858 0.469 0.379
F: 0.887 0.643 0.571
F: 0.914 0.362 0.573
F: 0.930 0.217 0.139
F: 0.959 0.959 0.671

***

Theoretical PXRD pattern
Compound: SrZnAsF
Radiation: Cu Kα
Structure: a cell relaxed with GGA-PBE
Peak positions follow from Bragg's law for the DFT cell and can differ from measured ones.

Principal peaks in the range 15° ≤ 2θ ≤ 90°, low angle first:
- 29.0 deg, intensity 100
- 36.3 deg, intensity 68
- 43.6 deg, intensity 49
- 45.2 deg, intensity 22
- 50.5 deg, intensity 34
- 53.2 deg, intensity 36

Crystal structure
Cell lengths 4.154, 4.154, 9.175 Å; angles 90.00, 90.00, 90.00 degrees
Atoms (fractional coordinates):
Sr: 0.250 0.250 0.154
Sr: 0.750 0.750 0.846
Zn: 0.250 0.750 0.500
Zn: 0.750 0.250 0.500
As: 0.250 0.250 0.670
As: 0.750 0.750 0.330
F: 0.250 0.750 0.000
F: 0.750 0.250 0.000

***

Theoretical PXRD pattern
Compound: TlAsF6
Radiation: Cu Kα
Structure: a cell relaxed with GGA-PBE
Peak positions follow from Bragg's law for the DFT cell and can differ from measured ones.

Principal peaks in the range 15° ≤ 2θ ≤ 90°, low angle first:
- 23.1 deg, intensity 100
- 26.5 deg, intensity 70
- 35.4 deg, intensity 22
- 37.4 deg, intensity 25
- 42.7 deg, intensity 53
- 59.9 deg, intensity 19

Crystal structure
Cell lengths 5.157, 5.157, 5.157 Å; angles 96.82, 96.82, 96.82 degrees
Atoms (fractional coordinates):
Tl: 0.000 0.000 0.000
As: 0.500 0.500 0.500
F: 0.223 0.299 0.579
F: 0.299 0.579 0.223
F: 0.421 0.777 0.701
F: 0.579 0.223 0.299
F: 0.701 0.421 0.777
F: 0.777 0.701 0.421